Entry 1:
Diffraction record for VGeW. The XRD peak list is theoretical, not measured: it uses a crystal structure in Alexandria, relaxed with PBE and λ = 1.5418 Å (Cu Kα).

Crystal structure
Lattice parameters (Å, degrees): 3.1305 12.5086 4.6268 90.00 90.00 90.00
Space group Ama2 (No. 40)
Symmetry-distinct sites (fractional):
V: 0.2500 0.0815 0.0000 [4 per cell]
Ge: 0.2500 0.2521 0.3661 [4 per cell]
W: 0.2500 0.4145 0.9987 [4 per cell]

Peak list (6 most intense, 15° ≤ 2θ ≤ 90°, sorted by position)
| d_spacing | I_rel | (hkl) |
| --- | --- | --- |
| 4.339 | 39 | 0 1 1 |
| 2.799 | 15 | 1 2 0 |
| 2.313 | 18 | 0 0 2 |
| 2.202 | 100 | 1 3 1 |
| 2.085 | 22 | 0 6 0 |
| 1.225 | 13 | 1 9 1 |

---

Entry 2:
Diffraction record for Ho6Tm12Pu. The XRD peak list is theoretical, not measured: it uses a crystal structure in Alexandria, relaxed with PBE and λ = 1.5418 Å (Cu Kα).

Crystal structure
Lattice parameters (Å, degrees): 12.0223 12.0223 14.0692 90.00 90.00 120.00
Space group R-3 (No. 148, hexagonal axes)
Symmetry-distinct sites (fractional):
Ho: 0.0310 0.4406 0.2098 [18 per cell]
Tm: 0.0429 0.1812 0.3088 [18 per cell]
Tm: 0.0698 0.8712 0.9062 [18 per cell]
Pu: 0.0000 0.0000 0.5000 [3 per cell]

Peak list (6 most intense, 15° ≤ 2θ ≤ 90°, sorted by position)
| d_spacing | I_rel | (hkl) |
| --- | --- | --- |
| 2.829 | 100 | 1 3 1 |
| 2.790 | 64 | 0 3 3 |
| 2.716 | 58 | 0 1 5 |
| 2.671 | 89 | 4 -1 2 |
| 2.622 | 47 | 3 -1 4 |
| 1.571 | 23 | 5 2 3 |

---

Entry 3:
Diffraction record for Li2Ac3In5. The XRD peak list is theoretical, not measured: it uses a crystal structure in Alexandria, relaxed with PBE and λ = 1.5418 Å (Cu Kα).

Crystal structure
Lattice parameters (Å, degrees): 11.1545 11.1545 4.5577 90.00 90.00 90.00
Space group P4/mbm (No. 127)
Symmetry-distinct sites (fractional):
Li: 0.1135 0.3865 0.0000 [4 per cell]
Ac: 0.0000 0.0000 0.0000 [2 per cell]
Ac: 0.1784 0.6784 0.0000 [4 per cell]
In: 0.0000 0.5000 0.5000 [2 per cell]
In: 0.0692 0.2287 0.5000 [8 per cell]

Peak list (6 most intense, 15° ≤ 2θ ≤ 90°, sorted by position)
| d_spacing | I_rel | (hkl) |
| --- | --- | --- |
| 3.365 | 84 | 2 1 1 |
| 2.982 | 47 | 2 2 1 |
| 2.789 | 100 | 3 1 1 |
| 2.705 | 51 | 4 1 0 |
| 2.494 | 29 | 4 2 0 |
| 2.279 | 28 | 0 0 2 |